1.
Diffraction record for InMoSe. The powder X-ray diffraction pattern is theoretical, not measured: it uses a crystal structure in Alexandria, relaxed with PBE and λ = 1.5418 Å (Cu Kα).
Neutral-atom scattering factors, no anomalous dispersion.

Atomic structure:
```
data_InMoSe
_chemical_formula_sum 'In1 Mo1 Se1'
_space_group_name_H-M_alt 'P 3 m 1'
_space_group_IT_number 156
_space_group_name_Hall 'P 3 -2"'
_cell_length_a 3.2809
_cell_length_b 3.2809
_cell_length_c 6.4564
_cell_angle_alpha 90.00
_cell_angle_beta 90.00
_cell_angle_gamma 120.00
loop_
_atom_site_label
_atom_site_fract_x
_atom_site_fract_y
_atom_site_fract_z
In1 0.0000 0.0000 0.0000
Mo1 0.3333 0.6667 0.3406
Se1 0.6667 0.3333 0.5937
```

Largest 8 diffraction maxima, low angle first, 2θ = 10–90°:
h k l  2θ (°)  d_spacing  I/Imax
0 1 1  34.5  2.601  100
0 0 3  42.0  2.152  12
1 0 2  42.4  2.133  49
0 1 3  53.4  1.716  10
1 1 0  56.1  1.640  24
0 1 4  66.6  1.403  11
2 0 1  67.5  1.387  13
1 1 3  72.4  1.305  14

---

2.
Diffraction record for InTcMo. The powder X-ray diffraction pattern is theoretical, not measured: it uses a crystal structure in Alexandria, relaxed with PBE and λ = 1.5418 Å (Cu Kα).
Neutral-atom scattering factors, no anomalous dispersion.

Atomic structure:
```
data_InTcMo
_chemical_formula_sum 'In2 Tc2 Mo2'
_space_group_name_H-M_alt 'I 4 m m'
_space_group_IT_number 107
_space_group_name_Hall 'I 4 -2'
_cell_length_a 3.1610
_cell_length_b 3.1610
_cell_length_c 10.2133
_cell_angle_alpha 90.00
_cell_angle_beta 90.00
_cell_angle_gamma 90.00
loop_
_atom_site_label
_atom_site_fract_x
_atom_site_fract_y
_atom_site_fract_z
In1 0.0000 0.0000 0.0000
Tc1 0.0000 0.0000 0.6794
Mo1 0.0000 0.0000 0.3139
```

Largest 8 diffraction maxima, low angle first, 2θ = 10–90°:
h k l  2θ (°)  d_spacing  I/Imax
1 0 3  38.9  2.316  100
1 1 0  40.4  2.235  48
0 0 6  53.9  1.702  8
2 0 0  58.4  1.580  16
1 1 6  69.4  1.354  14
2 1 3  72.4  1.306  31
2 0 6  83.5  1.158  9
2 2 0  87.2  1.118  5

---

- What is the formula in the first record?
  InMoSe